Structure and calculated PXRD pattern of ZnNi2Pb (a DFT-relaxed cell (GGA-PBE, Alexandria); Cu Kα).
Intensities are scaled so that the largest is 100.

Largest 10 diffraction maxima, most intense first, 10 to 90 degrees two-theta:
d = 2.427 Å, I = 100, (1 1 -1); d = 3.100 Å, I = 48, (0 1 1); d = 2.129 Å, I = 39, (0 1 2); d = 1.961 Å, I = 26, (0 2 0); d = 2.535 Å, I = 24, (0 0 2); d = 2.348 Å, I = 23, (1 0 1); d = 2.332 Å, I = 23, (1 0 -2); d = 5.069 Å, I = 19, (0 0 1); d = 1.551 Å, I = 19, (0 2 2); d = 2.015 Å, I = 19, (1 1 1)

```
data_ZnNi2Pb
_symmetry_space_group_name_H-M 'P 1 m 1'
_symmetry_Int_Tables_number 6
_symmetry_space_group_name_Hall 'P -2y'
_cell_length_a 3.2432
_cell_length_b 3.9216
_cell_length_c 5.3114
_cell_angle_alpha 90.00
_cell_angle_beta 107.36
_cell_angle_gamma 90.00
loop_
_atom_site_label
_atom_site_type_symbol
_atom_site_fract_x
_atom_site_fract_y
_atom_site_fract_z
Zn1 Zn 0.0000 0.0000 0.0000
Ni1 Ni 0.5504 0.5000 0.1032
Ni2 Ni 0.6905 0.0000 0.3850
Pb1 Pb 0.2892 0.5000 0.5832
```

=====

Structure and calculated PXRD pattern of Ni4Pd (a DFT-relaxed cell (GGA-PBE, Alexandria); Cu Kα).
Intensities are scaled so that the largest is 100.

Largest 10 diffraction maxima, most intense first, 10 to 90 degrees two-theta:
d = 2.091 Å, I = 100, (1 1 0); d = 1.832 Å, I = 32, (1 0 5); d = 1.101 Å, I = 22, (2 1 5); d = 1.273 Å, I = 18, (1 2 5); d = 1.770 Å, I = 15, (0 2 0); d = 1.295 Å, I = 9, (2 0 0); d = 2.738 Å, I = 4, (0 1 3); d = 3.415 Å, I = 3, (0 1 1); d = 6.479 Å, I = 2, (0 0 2); d = 2.221 Å, I = 2, (1 0 3)

```
data_Ni4Pd
_symmetry_space_group_name_H-M 'I m m m'
_symmetry_Int_Tables_number 71
_symmetry_space_group_name_Hall '-I 2 2'
_cell_length_a 2.5901
_cell_length_b 3.5403
_cell_length_c 12.9585
_cell_angle_alpha 90.00
_cell_angle_beta 90.00
_cell_angle_gamma 90.00
loop_
_atom_site_label
_atom_site_type_symbol
_atom_site_fract_x
_atom_site_fract_y
_atom_site_fract_z
Ni1 Ni 0.0000 0.0000 0.1089
Ni2 Ni 0.0000 0.0000 0.2972
Pd1 Pd 0.0000 0.0000 0.5000
```

=====

- Number 2 is which compound?
  Ni4Pd

=====

- Number 1 is which compound?
  ZnNi2Pb

=====

- What is the formula in the second record?
  Ni4Pd